1.
Structure and simulated PXRD pattern of Tb5Er5Sc (a crystal structure in Alexandria, relaxed with PBE; Cu Kα X-rays).
Lines closer than 0.1° are merged.

Atomic structure:
Lattice parameters (Å, degrees): 6.0044 6.0044 11.3533 90.00 90.00 120.00
Fractional coordinates of all 11 atoms:
Tb  0.0000  0.0000  0.2367
Tb  0.0000  0.0000  0.7633
Tb  0.3379  0.1690  0.0000
Tb  0.8310  0.1690  0.0000
Tb  0.8310  0.6621  0.0000
Er  0.0000  0.0000  0.5000
Er  0.3333  0.6667  0.1903
Er  0.3333  0.6667  0.8097
Er  0.6667  0.3333  0.3429
Er  0.6667  0.3333  0.6571
Sc  0.3333  0.6667  0.5000

Top 12 peaks for 10° ≤ 2θ ≤ 90°, by angle:
2θ/deg	I/Imax
29.2	1000
29.8	924
30.8	259
33.8	495
35.4	555
36.1	410
47.4	261
52.5	373
52.8	187
53.6	218
57.0	239
61.8	302

2.
Structure and simulated PXRD pattern of Ac12NdY5 (a crystal structure in Alexandria, relaxed with PBE; Cu Kα X-rays).
Lines closer than 0.1° are merged.

Atomic structure:
Lattice parameters (Å, degrees): 11.5876 11.5876 6.6932 106.43 106.43 59.70
Fractional coordinates of all 18 atoms:
Ac  0.0018  0.3317  0.4998
Ac  0.1645  0.8355  0.0000
Ac  0.1682  0.4984  0.0006
Ac  0.3317  0.0018  0.4998
Ac  0.3342  0.6658  0.5000
Ac  0.4984  0.1682  0.0006
Ac  0.5016  0.8318  0.9994
Ac  0.6658  0.3342  0.5000
Ac  0.6683  0.9982  0.5002
Ac  0.8318  0.5016  0.9994
Ac  0.8355  0.1645  0.0000
Ac  0.9982  0.6683  0.5002
Nd  0.5000  0.5000  0.0000
Y  0.0000  0.0000  0.5000
Y  0.1667  0.1667  0.9997
Y  0.3329  0.3329  0.4983
Y  0.6671  0.6671  0.5017
Y  0.8333  0.8333  0.0003

Top 12 peaks for 10° ≤ 2θ ≤ 90°, by angle:
2θ/deg	I/Imax
18.0	143
28.2	984
28.4	965
32.8	1000
46.7	126
47.1	494
55.6	304
55.9	224
56.0	298
58.3	145
58.8	129
87.8	131

3.
Structure and simulated PXRD pattern of Pm5Dy2 (a crystal structure in Alexandria, relaxed with PBE; Cu Kα X-rays).
Lines closer than 0.1° are merged.

Atomic structure:
Lattice parameters (Å, degrees): 6.1956 6.1956 11.7047 103.84 103.84 33.21
Fractional coordinates of all 7 atoms:
Pm  0.0000  0.0000  0.0000
Pm  0.2364  0.2364  0.8641
Pm  0.4647  0.4647  0.7127
Pm  0.5353  0.5353  0.2873
Pm  0.7636  0.7636  0.1359
Dy  0.1471  0.1471  0.5591
Dy  0.8529  0.8529  0.4409

Top 12 peaks for 10° ≤ 2θ ≤ 90°, by angle:
2θ/deg	I/Imax
26.9	315
28.1	489
29.7	474
30.1	899
31.4	1000
31.5	990
31.8	769
34.0	320
34.2	402
34.5	327
35.5	496
61.7	581